Simulated powder XRD pattern of AcTb4Sm for Cu Kα (weighted mean of Kα1 and Kα2), from a crystal structure in Alexandria, relaxed with PBE.

Crystal structure
```
data_AcTb4Sm
_chemical_formula_sum 'Ac2 Tb8 Sm2'
_space_group_name_H-M_alt 'P 1'
_space_group_IT_number 1
_cell_length_a 5.767
_cell_length_b 9.969
_cell_length_c 7.095
_cell_angle_alpha 90.00
_cell_angle_beta 90.00
_cell_angle_gamma 90.00
loop_
_space_group_symop_operation_xyz
'x,y,z'
loop_
_atom_site_label
_atom_site_fract_x
_atom_site_fract_y
_atom_site_fract_z
_atom_site_occupancy
Ac1 0.250 0.250 0.000 1
Ac2 0.750 0.750 0.000 1
Tb1 0.248 0.583 0.257 1
Tb2 0.248 0.917 0.743 1
Tb3 0.252 0.583 0.743 1
Tb4 0.252 0.917 0.257 1
Tb5 0.748 0.083 0.743 1
Tb6 0.748 0.417 0.257 1
Tb7 0.752 0.083 0.257 1
Tb8 0.752 0.417 0.743 1
Sm1 0.250 0.250 0.500 1
Sm2 0.750 0.750 0.500 1
```

Largest 10 diffraction maxima, low angle first, 2θ from 15° to 90°:
d 2.889, 30.95°, I = 100.0, (2 0 0); d 2.879, 31.06°, I = 52.1, (1 3 0); d 2.041, 44.39°, I = 27.7, (2 2 2); d 1.774, 51.52°, I = 6.3, (0 0 4); d 1.665, 55.17°, I = 39.7, (3 3 0); d 1.510, 61.38°, I = 22.3, (2 0 4); d 1.440, 64.76°, I = 6.4, (2 6 0); d 1.290, 73.42°, I = 8.4, (4 2 2); d 1.213, 78.90°, I = 10.9, (3 3 4); d 1.118, 87.18°, I = 8.7, (4 0 4)